(1)
# Y3PtRh8
Simulated X-ray diffraction stick pattern, Cu Kα (weighted mean of Kα1 and Kα2). Input: a DFT-relaxed cell (GGA-PBE, Alexandria).

Crystal structure
```
data_Y3PtRh8
_chemical_formula_sum 'Y9 Pt3 Rh24'
_cell_length_a 5.2884
_cell_length_b 5.2884
_cell_length_c 25.9564
_cell_angle_alpha 90.00
_cell_angle_beta 90.00
_cell_angle_gamma 120.00
_symmetry_space_group_name_H-M 'R 3 m'
_symmetry_Int_Tables_number 160
_symmetry_space_group_name_Hall 'R 3 -2"'
loop_
_atom_site_label
_atom_site_type_symbol
_atom_site_fract_x
_atom_site_fract_y
_atom_site_fract_z
_atom_site_occupancy
Y1 Y 0.0000 0.0000 0.0000 1
Y2 Y 0.0000 0.0000 0.1312 1
Y3 Y 0.0000 0.0000 0.5178 1
Pt1 Pt 0.0000 0.0000 0.6413 1
Rh1 Rh 0.0000 0.0000 0.3181 1
Rh2 Rh 0.0000 0.0000 0.8187 1
Rh3 Rh 0.0007 0.5003 0.0680 1
Rh4 Rh 0.1671 0.3341 0.9027 1
```

Peak list (10 most intense, 10 to 90 degrees two-theta, low angle first)
hkl 1 1 0, d 2.646, I 29.4
hkl 1 1 6, d 2.256, I 100.0
hkl 0 0 12, d 2.161, I 39.1
hkl 1 2 8, d 1.528, I 6.8
hkl 2 0 14, d 1.441, I 16.5
hkl 3 0 6, d 1.440, I 12.9
hkl 0 2 16, d 1.324, I 10.8
hkl 2 2 0, d 1.322, I 13.8
hkl 0 4 2, d 1.141, I 7.2
hkl 2 2 12, d 1.128, I 11.3

(2)
# Y4Pt3Rh
Simulated X-ray diffraction stick pattern, Cu Kα (weighted mean of Kα1 and Kα2). Input: a DFT-relaxed cell (GGA-PBE, Alexandria).

Crystal structure
```
data_Y4Pt3Rh
_chemical_formula_sum 'Y4 Pt3 Rh1'
_cell_length_a 3.7886
_cell_length_b 4.4336
_cell_length_c 10.5831
_cell_angle_alpha 90.00
_cell_angle_beta 90.00
_cell_angle_gamma 90.00
_symmetry_space_group_name_H-M 'P m m 2'
_symmetry_Int_Tables_number 25
loop_
_symmetry_equiv_pos_as_xyz
'x,y,z'
'-x,-y,z'
'-x,y,z'
'x,-y,z'
loop_
_atom_site_label
_atom_site_type_symbol
_atom_site_fract_x
_atom_site_fract_y
_atom_site_fract_z
_atom_site_occupancy
Y1 Y 0.0000 0.0000 0.0000 1
Y2 Y 0.0000 0.5000 0.2754 1
Y3 Y 0.5000 0.0000 0.4934 1
Y4 Y 0.5000 0.5000 0.7760 1
Pt1 Pt 0.0000 0.0000 0.7233 1
Pt2 Pt 0.0000 0.5000 0.5509 1
Pt3 Pt 0.5000 0.5000 0.0522 1
Rh1 Rh 0.5000 0.0000 0.2246 1
```

Peak list (10 most intense, 10 to 90 degrees two-theta, low angle first)
hkl 0 0 2, d 5.292, I 20.7
hkl 1 0 1, d 3.567, I 28.9
hkl 1 1 1, d 2.779, I 100.0
hkl 0 0 4, d 2.646, I 28.3
hkl 0 1 4, d 2.272, I 34.1
hkl 1 1 3, d 2.231, I 98.5
hkl 0 2 0, d 2.217, I 35.7
hkl 2 0 0, d 1.894, I 22.2
hkl 2 1 4, d 1.455, I 16.8
hkl 2 2 0, d 1.440, I 18.0

(3)
# Y8Pt2Rh
Simulated X-ray diffraction stick pattern, Cu Kα (weighted mean of Kα1 and Kα2). Input: a DFT-relaxed cell (GGA-PBE, Alexandria).

Crystal structure
```
data_Y8Pt2Rh
_chemical_formula_sum 'Y16 Pt4 Rh2'
_cell_length_a 8.4675
_cell_length_b 12.6159
_cell_length_c 6.0176
_cell_angle_alpha 90.00
_cell_angle_beta 109.05
_cell_angle_gamma 90.00
_symmetry_space_group_name_H-M 'C 1 m 1'
_symmetry_Int_Tables_number 8
loop_
_symmetry_equiv_pos_as_xyz
'x,y,z'
'x,-y,z'
'x+1/2,y+1/2,z'
'x+1/2,-y+1/2,z'
loop_
_atom_site_label
_atom_site_type_symbol
_atom_site_fract_x
_atom_site_fract_y
_atom_site_fract_z
_atom_site_occupancy
Y1 Y 0.0000 0.0000 0.0000 1
Y2 Y 0.0638 0.3716 0.7894 1
Y3 Y 0.1499 0.1289 0.5842 1
Y4 Y 0.2157 0.5000 0.3580 1
Y5 Y 0.3592 0.2135 0.1784 1
Pt1 Pt 0.3550 0.3129 0.6790 1
Rh1 Rh 0.3581 0.0000 0.0186 1
```

Peak list (10 most intense, 10 to 90 degrees two-theta, low angle first)
hkl 0 0 1, d 5.688, I 60.2
hkl 0 2 1, d 4.224, I 32.1
hkl 1 3 1, d 2.919, I 100.0
hkl 0 4 1, d 2.758, I 44.5
hkl 3 1 -1, d 2.725, I 59.7
hkl 0 2 2, d 2.593, I 46.3
hkl 2 2 -2, d 2.549, I 44.2
hkl 3 3 -1, d 2.327, I 45.7
hkl 1 5 -1, d 2.299, I 62.5
hkl 3 3 0, d 2.253, I 42.3

(4)
# Y5Pt2Rh2
Simulated X-ray diffraction stick pattern, Cu Kα (weighted mean of Kα1 and Kα2). Input: a DFT-relaxed cell (GGA-PBE, Alexandria).

Crystal structure
```
data_Y5Pt2Rh2
_chemical_formula_sum 'Y20 Pt8 Rh8'
_cell_length_a 14.8538
_cell_length_b 7.4589
_cell_length_c 7.5252
_cell_angle_alpha 90.00
_cell_angle_beta 90.00
_cell_angle_gamma 90.00
_symmetry_space_group_name_H-M 'C m c e'
_symmetry_Int_Tables_number 64
_symmetry_space_group_name_Hall '-C 2ac 2'
loop_
_atom_site_label
_atom_site_type_symbol
_atom_site_fract_x
_atom_site_fract_y
_atom_site_fract_z
_atom_site_occupancy
Y1 Y 0.0000 0.0000 0.0000 1
Y2 Y 0.1364 0.1723 0.3316 1
Pt1 Pt 0.2028 0.0000 0.0000 1
Rh1 Rh 0.0000 0.1305 0.6289 1
```

Peak list (10 most intense, 10 to 90 degrees two-theta, low angle first)
hkl 3 1 1, d 3.617, I 49.4
hkl 3 1 2, d 2.780, I 68.3
hkl 0 2 2, d 2.647, I 100.0
hkl 5 1 1, d 2.591, I 62.4
hkl 4 2 1, d 2.484, I 54.6
hkl 1 1 3, d 2.348, I 50.9
hkl 1 3 1, d 2.332, I 51.9
hkl 5 1 3, d 1.856, I 40.7
hkl 5 3 1, d 1.848, I 36.7
hkl 7 3 3, d 1.357, I 38.1

(5)
# Y3PtRh2
Simulated X-ray diffraction stick pattern, Cu Kα (weighted mean of Kα1 and Kα2). Input: a DFT-relaxed cell (GGA-PBE, Alexandria).

Crystal structure
```
data_Y3PtRh2
_chemical_formula_sum 'Y6 Pt2 Rh4'
_cell_length_a 4.9212
_cell_length_b 14.7463
_cell_length_c 3.4237
_cell_angle_alpha 90.00
_cell_angle_beta 90.00
_cell_angle_gamma 90.00
_symmetry_space_group_name_H-M 'C m m m'
_symmetry_Int_Tables_number 65
_symmetry_space_group_name_Hall '-C 2 2'
loop_
_atom_site_label
_atom_site_type_symbol
_atom_site_fract_x
_atom_site_fract_y
_atom_site_fract_z
_atom_site_occupancy
Y1 Y 0.0000 0.0000 0.0000 1
Y2 Y 0.0000 0.3318 0.0000 1
Pt1 Pt 0.0000 0.5000 0.5000 1
Rh1 Rh 0.0000 0.1679 0.5000 1
```

Peak list (10 most intense, 10 to 90 degrees two-theta, low angle first)
hkl 2 0 0, d 2.459, I 51.1
hkl 1 3 1, d 2.440, I 100.0
hkl 2 6 0, d 1.739, I 17.7
hkl 0 0 2, d 1.712, I 8.4
hkl 3 3 1, d 1.417, I 18.1
hkl 1 9 1, d 1.415, I 17.7
hkl 2 0 2, d 1.405, I 17.3
hkl 2 6 2, d 1.220, I 10.8
hkl 4 6 0, d 1.100, I 8.0
hkl 3 9 1, d 1.098, I 8.0

(6)
# ZnPt6Rh2
Simulated X-ray diffraction stick pattern, Cu Kα (weighted mean of Kα1 and Kα2). Input: a DFT-relaxed cell (GGA-PBE, Alexandria).

Crystal structure
```
data_ZnPt6Rh2
_chemical_formula_sum 'Zn2 Pt12 Rh4'
_cell_length_a 8.3165
_cell_length_b 8.3165
_cell_length_c 3.9328
_cell_angle_alpha 90.00
_cell_angle_beta 90.00
_cell_angle_gamma 90.00
_symmetry_space_group_name_H-M 'P 42/m n m'
_symmetry_Int_Tables_number 136
_symmetry_space_group_name_Hall '-P 4n 2n'
loop_
_atom_site_label
_atom_site_type_symbol
_atom_site_fract_x
_atom_site_fract_y
_atom_site_fract_z
_atom_site_occupancy
Zn1 Zn 0.0000 0.0000 0.0000 1
Pt1 Pt 0.0007 0.3278 0.0000 1
Pt2 Pt 0.1626 0.1626 0.5000 1
Rh1 Rh 0.1655 0.8345 0.5000 1
```

Peak list (10 most intense, 10 to 90 degrees two-theta, low angle first)
hkl 1 1 0, d 5.881, I 4.2
hkl 2 1 1, d 2.702, I 5.1
hkl 3 0 1, d 2.266, I 100.0
hkl 0 0 2, d 1.966, I 16.5
hkl 3 3 0, d 1.960, I 32.4
hkl 3 3 2, d 1.388, I 21.2
hkl 6 0 0, d 1.386, I 10.4
hkl 3 0 3, d 1.185, I 12.8
hkl 6 3 1, d 1.182, I 25.0
hkl 6 0 2, d 1.133, I 11.2